Entry 1:
Simulated X-ray powder pattern
Compound: DyErCo2B2P2
Radiation: CuKα
Structure: DFT lattice parameters and positions (PBE)
Peak positions follow from Bragg's law for the DFT cell and can differ from measured ones.

Main lines, in order of rising 2θ (10° ≤ 2θ ≤ 90°):
21.9 deg, rel. 18, (0 0 2); 26.1 deg, rel. 100, (1 0 1); 33.1 deg, rel. 34, (0 0 3); 33.6 deg, rel. 32, (1 1 0); 35.4 deg, rel. 38, (1 1 1); 40.5 deg, rel. 88, (1 1 2); 41.1 deg, rel. 34, (1 0 3); 48.3 deg, rel. 40, (2 0 0); 55.7 deg, rel. 27, (2 1 1); 59.8 deg, rel. 24, (2 0 3); 67.6 deg, rel. 21, (1 1 5); 84.7 deg, rel. 20, (3 1 2)

Unit cell a=3.7711 b=3.7711 c=8.1110 alpha=90.00 beta=90.00 gamma=90.00
Space group P4mm (No. 99)
Asymmetric unit:
Dy (0.0000, 0.0000, 0.0000) (multiplicity 1)
Er (0.5000, 0.5000, 0.4192) (multiplicity 1)
Co (0.0000, 0.5000, 0.7092) (multiplicity 2)
B (0.0000, 0.0000, 0.6059) (multiplicity 1)
B (0.5000, 0.5000, 0.8145) (multiplicity 1)
P (0.0000, 0.0000, 0.3597) (multiplicity 1)
P (0.5000, 0.5000, 0.0616) (multiplicity 1)

Entry 2:
Simulated X-ray powder pattern
Compound: Dy2HoCo2B2P3
Radiation: CuKα
Structure: DFT lattice parameters and positions (PBE)
Peak positions follow from Bragg's law for the DFT cell and can differ from measured ones.

Main lines, in order of rising 2θ (10° ≤ 2θ ≤ 90°):
26.2 deg, rel. 100, (1 0 3); 31.0 deg, rel. 25, (1 0 5); 32.9 deg, rel. 95, (0 0 8); 33.9 deg, rel. 27, (1 1 2); 36.9 deg, rel. 27, (1 1 4); 41.4 deg, rel. 54, (1 1 6); 47.1 deg, rel. 66, (2 0 0); 51.9 deg, rel. 21, (1 0 11); 54.7 deg, rel. 28, (2 1 3); 58.7 deg, rel. 33, (2 0 8); 69.5 deg, rel. 20, (1 1 14); 78.4 deg, rel. 24, (2 2 8)

Unit cell a=3.8555 b=3.8555 c=21.8001 alpha=90.00 beta=90.00 gamma=90.00
Space group I4/mmm (No. 139)
Asymmetric unit:
Dy (0.0000, 0.0000, 0.1381) (multiplicity 4)
Ho (0.0000, 0.0000, 0.5000) (multiplicity 2)
Co (0.0000, 0.5000, 0.2500) (multiplicity 4)
B (0.0000, 0.0000, 0.2852) (multiplicity 4)
P (0.0000, 0.0000, 0.0000) (multiplicity 2)
P (0.0000, 0.0000, 0.3755) (multiplicity 4)

Entry 3:
Simulated X-ray powder pattern
Compound: PrDy2Co2B2N3
Radiation: CuKα
Structure: DFT lattice parameters and positions (PBE)
Peak positions follow from Bragg's law for the DFT cell and can differ from measured ones.

Main lines, in order of rising 2θ (10° ≤ 2θ ≤ 90°):
28.6 deg, rel. 100, (1 0 3); 33.8 deg, rel. 67, (1 0 5); 35.7 deg, rel. 48, (0 0 8); 36.0 deg, rel. 39, (1 1 0); 37.2 deg, rel. 31, (1 1 2); 40.4 deg, rel. 40, (1 1 4); 45.3 deg, rel. 25, (1 1 6); 51.6 deg, rel. 24, (1 1 8); 51.9 deg, rel. 35, (2 0 0); 60.3 deg, rel. 27, (2 1 3); 63.3 deg, rel. 23, (2 1 5); 64.5 deg, rel. 33, (2 0 8)

Unit cell a=3.5252 b=3.5252 c=20.1463 alpha=90.00 beta=90.00 gamma=90.00
Space group I4/mmm (No. 139)
Asymmetric unit:
Pr (0.0000, 0.0000, 0.0000) (multiplicity 2)
Dy (0.0000, 0.0000, 0.3728) (multiplicity 4)
Co (0.0000, 0.5000, 0.2500) (multiplicity 4)
B (0.0000, 0.0000, 0.1963) (multiplicity 4)
N (0.0000, 0.0000, 0.1220) (multiplicity 4)
N (0.0000, 0.0000, 0.5000) (multiplicity 2)

Entry 4:
Simulated X-ray powder pattern
Compound: Tb2DyCo2B2N3
Radiation: CuKα
Structure: DFT lattice parameters and positions (PBE)
Peak positions follow from Bragg's law for the DFT cell and can differ from measured ones.

Main lines, in order of rising 2θ (10° ≤ 2θ ≤ 90°):
29.0 deg, rel. 100, (1 0 3); 34.2 deg, rel. 79, (1 0 5); 36.1 deg, rel. 49, (0 0 8); 36.5 deg, rel. 41, (1 1 0); 37.7 deg, rel. 38, (1 1 2); 40.9 deg, rel. 31, (1 1 4); 45.9 deg, rel. 21, (1 1 6); 52.3 deg, rel. 25, (1 1 8); 52.6 deg, rel. 36, (2 0 0); 61.2 deg, rel. 26, (2 1 3); 64.3 deg, rel. 27, (2 1 5); 65.5 deg, rel. 33, (2 0 8)

Unit cell a=3.4791 b=3.4791 c=19.8875 alpha=90.00 beta=90.00 gamma=90.00
Space group I4/mmm (No. 139)
Asymmetric unit:
Tb (0.0000, 0.0000, 0.1242) (multiplicity 4)
Dy (0.0000, 0.0000, 0.5000) (multiplicity 2)
Co (0.0000, 0.5000, 0.2500) (multiplicity 4)
B (0.0000, 0.0000, 0.3062) (multiplicity 4)
N (0.0000, 0.0000, 0.0000) (multiplicity 2)
N (0.0000, 0.0000, 0.3820) (multiplicity 4)

Entry 5:
Simulated X-ray powder pattern
Compound: DyTmCo2B2N2
Radiation: CuKα
Structure: DFT lattice parameters and positions (PBE)
Peak positions follow from Bragg's law for the DFT cell and can differ from measured ones.

Main lines, in order of rising 2θ (10° ≤ 2θ ≤ 90°):
28.5 deg, rel. 100, (1 0 1); 35.5 deg, rel. 68, (1 0 2); 36.3 deg, rel. 46, (0 0 3); 36.8 deg, rel. 25, (1 1 0); 38.8 deg, rel. 62, (1 1 1); 44.4 deg, rel. 44, (1 1 2); 53.0 deg, rel. 34, (2 0 0); 56.2 deg, rel. 20, (1 0 4); 61.3 deg, rel. 25, (2 1 1); 62.9 deg, rel. 16, (1 1 4); 65.4 deg, rel. 24, (2 1 2); 65.9 deg, rel. 31, (2 0 3)

Unit cell a=3.4564 b=3.4564 c=7.4270 alpha=90.00 beta=90.00 gamma=90.00
Space group P4mm (No. 99)
Asymmetric unit:
Dy (0.0000, 0.0000, 0.0000) (multiplicity 1)
Tm (0.5000, 0.5000, 0.3344) (multiplicity 1)
Co (0.0000, 0.5000, 0.6673) (multiplicity 2)
B (0.0000, 0.0000, 0.5169) (multiplicity 1)
B (0.5000, 0.5000, 0.8192) (multiplicity 1)
N (0.0000, 0.0000, 0.3140) (multiplicity 1)
N (0.5000, 0.5000, 0.0235) (multiplicity 1)

Repeat the first record exactly.
Simulated X-ray powder pattern
Compound: DyErCo2B2P2
Radiation: CuKα
Structure: DFT lattice parameters and positions (PBE)
Peak positions follow from Bragg's law for the DFT cell and can differ from measured ones.

Main lines, in order of rising 2θ (10° ≤ 2θ ≤ 90°):
21.9 deg, rel. 18, (0 0 2); 26.1 deg, rel. 100, (1 0 1); 33.1 deg, rel. 34, (0 0 3); 33.6 deg, rel. 32, (1 1 0); 35.4 deg, rel. 38, (1 1 1); 40.5 deg, rel. 88, (1 1 2); 41.1 deg, rel. 34, (1 0 3); 48.3 deg, rel. 40, (2 0 0); 55.7 deg, rel. 27, (2 1 1); 59.8 deg, rel. 24, (2 0 3); 67.6 deg, rel. 21, (1 1 5); 84.7 deg, rel. 20, (3 1 2)

Unit cell a=3.7711 b=3.7711 c=8.1110 alpha=90.00 beta=90.00 gamma=90.00
Space group P4mm (No. 99)
Asymmetric unit:
Dy (0.0000, 0.0000, 0.0000) (multiplicity 1)
Er (0.5000, 0.5000, 0.4192) (multiplicity 1)
Co (0.0000, 0.5000, 0.7092) (multiplicity 2)
B (0.0000, 0.0000, 0.6059) (multiplicity 1)
B (0.5000, 0.5000, 0.8145) (multiplicity 1)
P (0.0000, 0.0000, 0.3597) (multiplicity 1)
P (0.5000, 0.5000, 0.0616) (multiplicity 1)

Question: What is the formula in the first record?
Answer: DyErCo2B2P2